Calculated powder XRD pattern
Compound: Be3Nb3C
Radiation: Cu Ka
Structure: a DFT-relaxed cell (GGA-PBE, Alexandria)
Peak positions follow from Bragg's law for the DFT cell and can differ from measured ones.

a = 11.276 Å, b = 11.276 Å, c = 11.276 Å
α = 90.00°, β = 90.00°, γ = 90.00°
Space group Fd-3m (No. 227, origin choice 2)
Asymmetric unit:
1 Be 0.000 0.000 0.000 x16
2 Be 0.049 0.049 0.201 x32
3 Nb 0.068 0.375 0.875 x48
4 C 0.000 0.000 0.500 x16

Peak list (10 most intense, 5° ≤ 2θ ≤ 70°, by intensity)
d [Å], I/Imax
2.170, 100
6.510, 99
2.302, 82
2.819, 69
2.587, 52
1.579, 34
1.993, 28
1.378, 21
3.987, 19
1.468, 17